Diffraction record for SmTaP. The PXRD pattern is simulated, not measured: it uses a crystal structure in Alexandria, relaxed with GGA-PBE and Cu Kα X-rays.

Most intense lines, 2θ = 15–90°, in order of falling intensity:
2θ = 34.10°, intensity 100.0, (1 1 1)
2θ = 39.68°, intensity 53.8, (1 1 2)
2θ = 45.97°, intensity 38.9, (2 0 0)
2θ = 32.23°, intensity 38.0, (1 0 2)
2θ = 34.43°, intensity 31.1, (0 0 3)
2θ = 58.68°, intensity 27.3, (2 0 3)

Crystal structure
a = 3.948 Å, b = 3.948 Å, c = 7.815 Å
α = 90.00°, β = 90.00°, γ = 90.00°
Atoms (fractional coordinates):
Sm  0.250  0.250  0.143
Sm  0.750  0.750  0.857
Ta  0.250  0.750  0.500
Ta  0.750  0.250  0.500
P  0.250  0.250  0.731
P  0.750  0.750  0.269

Diffraction record for Tb3SmP4. The PXRD pattern is simulated, not measured: it uses a crystal structure in Alexandria, relaxed with GGA-PBE and Cu Kα X-rays.

Most intense lines, 2θ = 15–90°, in order of falling intensity:
2θ = 31.24°, intensity 100.0, (2 0 1)
2θ = 26.97°, intensity 85.1, (2 2 0)
2θ = 44.77°, intensity 73.2, (4 0 0)
2θ = 53.05°, intensity 41.7, (4 2 1)
2θ = 74.05°, intensity 32.8, (6 0 1)
2θ = 55.61°, intensity 25.6, (4 4 0)

Crystal structure
a = 8.096 Å, b = 11.448 Å, c = 4.050 Å
α = 90.00°, β = 90.00°, γ = 90.00°
Atoms (fractional coordinates):
Tb  0.000  0.000  0.000
Tb  0.250  0.250  0.500
Tb  0.250  0.750  0.500
Tb  0.500  0.500  0.000
Tb  0.750  0.250  0.500
Tb  0.750  0.750  0.500
Sm  0.000  0.500  0.000
Sm  0.500  0.000  0.000
P  0.000  0.248  0.000
P  0.000  0.752  0.000
P  0.247  0.000  0.500
P  0.253  0.500  0.500
P  0.500  0.252  0.000
P  0.500  0.748  0.000
P  0.747  0.500  0.500
P  0.753  0.000  0.500